Starting from a GGA-PBE-relaxed structure, the XRD peak list of K2CeAgBr6 was computed for Cu Ka.
Kinematic intensities with the Lorentz-polarization factor, no thermal factor.

Top 12 peaks for 10 to 80 degrees two-theta, low angle first:
2θ/deg, I (rel.), (hkl)
15.43, 88, 2 0 0
21.89, 21, 2 2 0
26.90, 30, 2 2 2
31.16, 100, 4 0 0
34.95, 48, 4 2 0
44.64, 72, 4 4 0
47.51, 25, 6 0 0
52.89, 13, 6 2 2
55.44, 25, 4 4 4
64.98, 11, 8 0 0
67.24, 14, 6 4 4
73.82, 31, 8 4 0

Structural model:
```
data_K2CeAgBr6
_space_group_name_H-M_alt 'F m -3 m'
_space_group_IT_number 225
_space_group_name_Hall '-F 4 2 3'
_cell_length_a 11.4818
_cell_length_b 11.4818
_cell_length_c 11.4818
_cell_angle_alpha 90.00
_cell_angle_beta 90.00
_cell_angle_gamma 90.00
loop_
_atom_site_label
_atom_site_type_symbol
_atom_site_fract_x
_atom_site_fract_y
_atom_site_fract_z
K1 K 0.2500 0.2500 0.2500
Ce1 Ce 0.0000 0.0000 0.0000
Ag1 Ag 0.0000 0.0000 0.5000
Br1 Br 0.0000 0.0000 0.2516
```


Starting from a GGA-PBE-relaxed structure, the XRD peak list of CsAgBr2 was computed for Cu Ka.
Kinematic intensities with the Lorentz-polarization factor, no thermal factor.

Top 12 peaks for 10 to 80 degrees two-theta, low angle first:
2θ/deg, I (rel.), (hkl)
23.43, 89, 1 1 0
23.78, 26, 1 0 2
25.62, 29, 0 0 3
29.09, 56, 1 1 2
30.63, 80, 1 0 3
33.37, 100, 2 0 0
42.03, 21, 1 1 4
42.54, 29, 2 0 3
45.93, 51, 2 1 3
47.91, 35, 2 2 0
49.88, 36, 1 1 5
71.66, 24, 3 1 5

Structural model:
```
data_CsAgBr2
_space_group_name_H-M_alt 'P 4/n m m'
_space_group_IT_number 129
_cell_length_a 5.3699
_cell_length_b 5.3699
_cell_length_c 10.4307
_cell_angle_alpha 90.00
_cell_angle_beta 90.00
_cell_angle_gamma 90.00
loop_
_space_group_symop_operation_xyz
'x,y,z'
'-x,-y,-z'
'-y+1/2,x,z'
'y+1/2,-x,-z'
'-x+1/2,-y+1/2,z'
'x+1/2,y+1/2,-z'
'y,-x+1/2,z'
'-y,x+1/2,-z'
'x+1/2,-y,-z'
'-x+1/2,y,z'
'-y,-x,-z'
'y,x,z'
'-x,y+1/2,-z'
'x,-y+1/2,z'
'y+1/2,x+1/2,-z'
'-y+1/2,-x+1/2,z'
loop_
_atom_site_label
_atom_site_type_symbol
_atom_site_fract_x
_atom_site_fract_y
_atom_site_fract_z
Cs1 Cs 0.2500 0.2500 0.2068
Ag1 Ag 0.2500 0.2500 0.6000
Br1 Br 0.2500 0.2500 0.8551
Br2 Br 0.2500 0.7500 0.5000
```


Starting from a GGA-PBE-relaxed structure, the XRD peak list of CsAgBr2 was computed for Cu Ka.
Kinematic intensities with the Lorentz-polarization factor, no thermal factor.

Top 12 peaks for 10 to 80 degrees two-theta, low angle first:
2θ/deg, I (rel.), (hkl)
23.14, 18, 1 3 0
24.49, 46, 1 1 1
26.28, 29, 0 6 0
27.50, 100, 1 3 1
29.12, 53, 1 5 0
29.56, 74, 0 0 2
38.59, 36, 2 0 0
39.96, 19, 0 6 2
41.97, 38, 1 5 2
47.14, 46, 1 9 1
49.35, 35, 2 0 2
51.19, 17, 1 3 3

Structural model:
```
data_CsAgBr2
_space_group_name_H-M_alt 'C m c m'
_space_group_IT_number 63
_space_group_name_Hall '-C 2c 2'
_cell_length_a 4.6661
_cell_length_b 20.3446
_cell_length_c 6.0444
_cell_angle_alpha 90.00
_cell_angle_beta 90.00
_cell_angle_gamma 90.00
loop_
_atom_site_label
_atom_site_type_symbol
_atom_site_fract_x
_atom_site_fract_y
_atom_site_fract_z
Cs1 Cs 0.0000 0.0846 0.2500
Ag1 Ag 0.0000 0.2991 0.2500
Br1 Br 0.0000 0.2747 0.7500
Br2 Br 0.0000 0.4307 0.2500
```


Starting from a GGA-PBE-relaxed structure, the XRD peak list of Cs2InAgBr6 was computed for Cu Ka.
Kinematic intensities with the Lorentz-polarization factor, no thermal factor.

Top 12 peaks for 10 to 80 degrees two-theta, low angle first:
2θ/deg, I (rel.), (hkl)
15.79, 11, 2 0 0
22.40, 54, 2 2 0
27.53, 56, 2 2 2
31.89, 100, 4 0 0
39.33, 24, 4 2 2
45.73, 71, 4 4 0
51.49, 11, 6 2 0
54.21, 24, 6 2 2
56.83, 25, 4 4 4
61.86, 13, 6 4 2
66.66, 11, 8 0 0
75.81, 31, 8 4 0

Structural model:
```
data_Cs2InAgBr6
_space_group_name_H-M_alt 'F m -3 m'
_space_group_IT_number 225
_space_group_name_Hall '-F 4 2 3'
_cell_length_a 11.2240
_cell_length_b 11.2240
_cell_length_c 11.2240
_cell_angle_alpha 90.00
_cell_angle_beta 90.00
_cell_angle_gamma 90.00
loop_
_atom_site_label
_atom_site_type_symbol
_atom_site_fract_x
_atom_site_fract_y
_atom_site_fract_z
Cs1 Cs 0.2500 0.2500 0.2500
In1 In 0.0000 0.0000 0.0000
Ag1 Ag 0.0000 0.0000 0.5000
Br1 Br 0.0000 0.0000 0.2440
```


Starting from a GGA-PBE-relaxed structure, the XRD peak list of Cs2AgSbBr6 was computed for Cu Ka.
Kinematic intensities with the Lorentz-polarization factor, no thermal factor.

Top 12 peaks for 10 to 80 degrees two-theta, low angle first:
2θ/deg, I (rel.), (hkl)
15.58, 11, 2 0 0
22.10, 54, 2 2 0
27.15, 55, 2 2 2
31.45, 100, 4 0 0
38.77, 25, 4 2 2
45.07, 72, 4 4 0
50.75, 11, 6 2 0
53.41, 24, 6 2 2
55.99, 25, 4 4 4
60.93, 13, 6 4 2
65.64, 12, 8 0 0
74.60, 32, 8 4 0

Structural model:
```
data_Cs2AgSbBr6
_space_group_name_H-M_alt 'F m -3 m'
_space_group_IT_number 225
_space_group_name_Hall '-F 4 2 3'
_cell_length_a 11.3785
_cell_length_b 11.3785
_cell_length_c 11.3785
_cell_angle_alpha 90.00
_cell_angle_beta 90.00
_cell_angle_gamma 90.00
loop_
_atom_site_label
_atom_site_type_symbol
_atom_site_fract_x
_atom_site_fract_y
_atom_site_fract_z
Cs1 Cs 0.2500 0.2500 0.2500
Ag1 Ag 0.0000 0.0000 0.0000
Sb1 Sb 0.0000 0.0000 0.5000
Br1 Br 0.0000 0.0000 0.2516
```


Starting from a GGA-PBE-relaxed structure, the XRD peak list of Cs2TaAgBr6 was computed for Cu Ka.
Kinematic intensities with the Lorentz-polarization factor, no thermal factor.

Top 12 peaks for 10 to 80 degrees two-theta, low angle first:
2θ/deg, I (rel.), (hkl)
15.98, 20, 2 0 0
22.67, 68, 2 2 0
27.86, 39, 2 2 2
32.28, 100, 4 0 0
39.81, 31, 4 2 2
46.30, 71, 4 4 0
52.15, 15, 6 2 0
54.90, 15, 6 2 2
57.56, 24, 4 4 4
62.67, 17, 6 4 2
67.55, 11, 8 0 0
76.86, 31, 8 4 0

Structural model:
```
data_Cs2TaAgBr6
_space_group_name_H-M_alt 'F m -3 m'
_space_group_IT_number 225
_space_group_name_Hall '-F 4 2 3'
_cell_length_a 11.0936
_cell_length_b 11.0936
_cell_length_c 11.0936
_cell_angle_alpha 90.00
_cell_angle_beta 90.00
_cell_angle_gamma 90.00
loop_
_atom_site_label
_atom_site_type_symbol
_atom_site_fract_x
_atom_site_fract_y
_atom_site_fract_z
Cs1 Cs 0.2500 0.2500 0.2500
Ta1 Ta 0.0000 0.0000 0.0000
Ag1 Ag 0.0000 0.0000 0.5000
Br1 Br 0.0000 0.0000 0.2390
```


Starting from a GGA-PBE-relaxed structure, the XRD peak list of Cs2YAgBr6 was computed for Cu Ka.
Kinematic intensities with the Lorentz-polarization factor, no thermal factor.

Top 12 peaks for 10 to 80 degrees two-theta, low angle first:
2θ/deg, I (rel.), (hkl)
22.04, 48, 2 2 0
27.08, 65, 2 2 2
31.37, 100, 4 0 0
38.68, 22, 4 2 2
44.96, 72, 4 4 0
50.62, 10, 6 2 0
53.28, 29, 6 2 2
55.85, 25, 4 4 4
60.77, 11, 6 4 2
65.47, 11, 8 0 0
72.21, 12, 6 6 2
74.40, 32, 8 4 0

Structural model:
```
data_Cs2YAgBr6
_space_group_name_H-M_alt 'F m -3 m'
_space_group_IT_number 225
_space_group_name_Hall '-F 4 2 3'
_cell_length_a 11.4054
_cell_length_b 11.4054
_cell_length_c 11.4054
_cell_angle_alpha 90.00
_cell_angle_beta 90.00
_cell_angle_gamma 90.00
loop_
_atom_site_label
_atom_site_type_symbol
_atom_site_fract_x
_atom_site_fract_y
_atom_site_fract_z
Cs1 Cs 0.2500 0.2500 0.2500
Y1 Y 0.0000 0.0000 0.0000
Ag1 Ag 0.0000 0.0000 0.5000
Br1 Br 0.0000 0.0000 0.2461
```


Starting from a GGA-PBE-relaxed structure, the XRD peak list of FeAgBr4 was computed for Cu Ka.
Kinematic intensities with the Lorentz-polarization factor, no thermal factor.

Top 12 peaks for 10 to 80 degrees two-theta, low angle first:
2θ/deg, I (rel.), (hkl)
13.65, 99, 0 1 1
26.88, 34, 2 0 2
27.75, 89, 0 1 4
27.97, 90, 1 2 1
28.57, 85, 2 1 -2
36.16, 47, 1 1 5
36.66, 49, 2 2 2
37.46, 46, 3 1 -1
43.19, 100, 1 3 -3
43.59, 41, 2 0 -6
47.49, 38, 2 1 6
52.11, 35, 1 2 -7

Structural model:
```
data_FeAgBr4
_space_group_name_H-M_alt 'P 1 21/c 1'
_space_group_IT_number 14
_space_group_name_Hall '-P 2ybc'
_cell_length_a 7.6941
_cell_length_b 7.2772
_cell_length_c 14.3530
_cell_angle_alpha 90.00
_cell_angle_beta 92.89
_cell_angle_gamma 90.00
loop_
_atom_site_label
_atom_site_type_symbol
_atom_site_fract_x
_atom_site_fract_y
_atom_site_fract_z
Fe1 Fe 0.2080 0.1756 0.3999
Ag1 Ag 0.3444 0.0143 0.6350
Br1 Br 0.0598 0.6862 0.1867
Br2 Br 0.1917 0.1798 0.0460
Br3 Br 0.3095 0.6296 0.9279
Br4 Br 0.4264 0.1798 0.8130
```


Starting from a GGA-PBE-relaxed structure, the XRD peak list of Rb2GaAgBr6 was computed for Cu Ka.
Kinematic intensities with the Lorentz-polarization factor, no thermal factor.

Top 12 peaks for 10 to 80 degrees two-theta, low angle first:
2θ/deg, I (rel.), (hkl)
16.28, 26, 2 0 0
23.10, 27, 2 2 0
28.40, 63, 2 2 2
32.90, 100, 4 0 0
36.92, 12, 4 2 0
40.59, 11, 4 2 2
47.22, 70, 4 4 0
56.02, 25, 6 2 2
58.75, 23, 4 4 4
69.00, 11, 8 0 0
76.23, 10, 6 6 2
78.58, 29, 8 4 0

Structural model:
```
data_Rb2GaAgBr6
_space_group_name_H-M_alt 'F m -3 m'
_space_group_IT_number 225
_space_group_name_Hall '-F 4 2 3'
_cell_length_a 10.8883
_cell_length_b 10.8883
_cell_length_c 10.8883
_cell_angle_alpha 90.00
_cell_angle_beta 90.00
_cell_angle_gamma 90.00
loop_
_atom_site_label
_atom_site_type_symbol
_atom_site_fract_x
_atom_site_fract_y
_atom_site_fract_z
Rb1 Rb 0.2500 0.2500 0.2500
Ga1 Ga 0.0000 0.0000 0.0000
Ag1 Ag 0.0000 0.0000 0.5000
Br1 Br 0.0000 0.0000 0.2386
```